Simulated powder X-ray diffraction pattern of Li10Mn2Fe3Co3O16 for Cu Kα, from a structure optimized by DFT (GGA+U).
Neutral-atom scattering factors, no anomalous dispersion.

Structure:
```
data_Li10Mn2Fe3Co3O16
_chemical_formula_sum 'Li10 Mn2 Fe3 Co3 O16'
_symmetry_space_group_name_H-M 'P 1'
_symmetry_Int_Tables_number 1
_cell_length_a 5.8033
_cell_length_b 5.9952
_cell_length_c 9.6931
_cell_angle_alpha 87.39
_cell_angle_beta 89.78
_cell_angle_gamma 61.17
loop_
_symmetry_equiv_pos_as_xyz
'x,y,z'
loop_
_atom_site_label
_atom_site_type_symbol
_atom_site_fract_x
_atom_site_fract_y
_atom_site_fract_z
Li1 Li 0.0000 0.0000 0.0000
Li2 Li 0.0038 0.5799 0.9936
Li3 Li 0.1205 0.7609 0.7716
Li4 Li 0.1904 0.1872 0.4923
Li5 Li 0.4197 0.5918 0.9887
Li6 Li 0.4789 0.0428 0.2729
Li7 Li 0.5963 0.8106 0.5118
Li8 Li 0.6456 0.1744 0.4896
Li9 Li 0.7913 0.4131 0.5576
Li10 Li 0.8143 0.3669 0.0662
Mn1 Mn 0.1549 0.6983 0.5157
Mn2 Mn 0.4752 0.0410 0.0188
Fe1 Fe 0.1363 0.2358 0.7632
Fe2 Fe 0.6304 0.2355 0.7639
Fe3 Fe 0.9892 0.0227 0.2607
Co1 Co 0.4817 0.5326 0.2588
Co2 Co 0.6318 0.7409 0.7667
Co3 Co 0.9841 0.5330 0.2622
O1 O 0.1526 0.1889 0.1375
O2 O 0.1550 0.7130 0.1506
O3 O 0.2990 0.8704 0.3917
O4 O 0.2998 0.9206 0.8884
O5 O 0.3191 0.3658 0.8844
O6 O 0.3302 0.3773 0.3773
O7 O 0.4599 0.0865 0.6500
O8 O 0.4641 0.5671 0.6407
O9 O 0.6369 0.6912 0.1365
O10 O 0.6614 0.1797 0.1380
O11 O 0.7808 0.9143 0.8919
O12 O 0.8089 0.3836 0.8721
O13 O 0.8161 0.3421 0.3650
O14 O 0.8422 0.8590 0.3902
O15 O 0.9530 0.0956 0.6510
O16 O 0.9757 0.5606 0.6368
```

The 8 most intense peaks (2θ from 10° to 80°), in order of rising 2θ:
| d (Å) | 2θ (°) | I/Imax |
| --- | --- | --- |
| 4.841 | 18.3 | 1000 |
| 4.711 | 18.8 | 342 |
| 4.543 | 19.5 | 632 |
| 4.453 | 19.9 | 523 |
| 2.597 | 34.5 | 311 |
| 2.502 | 35.9 | 409 |
| 2.087 | 43.4 | 387 |
| 1.988 | 45.6 | 296 |